# 1
Ce8Pt2Pb: computed powder diffraction line list (Cu Kα), based on a cell relaxed with GGA-PBE.
Neutral-atom scattering factors, no anomalous dispersion.

The 10 most intense peaks (10 to 90 degrees two-theta), most intense first:
2θ = 31.31°, I 100
2θ = 33.91°, I 97
2θ = 33.73°, I 80
2θ = 34.51°, I 78
2θ = 37.63°, I 62
2θ = 21.95°, I 49
2θ = 33.42°, I 48
2θ = 30.94°, I 41
2θ = 38.85°, I 35
2θ = 34.90°, I 33

Structure:
Cell lengths 7.965, 7.965, 5.487 Å; angles 97.56, 97.56, 116.64 degrees
Sites, in units of the cell vectors:
1 Ce 0.086 0.086 0.820
2 Ce 0.213 0.423 0.434
3 Ce 0.247 0.753 0.000
4 Ce 0.423 0.213 0.434
5 Ce 0.577 0.787 0.566
6 Ce 0.753 0.247 0.000
7 Ce 0.787 0.577 0.566
8 Ce 0.914 0.914 0.180
9 Pt 0.194 0.806 0.500
10 Pt 0.806 0.194 0.500
11 Pb 0.500 0.500 0.000



# 2
ZnTc3: computed powder diffraction line list (Cu Kα), based on a cell relaxed with GGA-PBE.
Neutral-atom scattering factors, no anomalous dispersion.

The 10 most intense peaks (10 to 90 degrees two-theta), most intense first:
2θ = 43.09°, I 100
2θ = 42.89°, I 76
2θ = 41.05°, I 53
2θ = 43.49°, I 34
2θ = 37.55°, I 32
2θ = 68.17°, I 23
2θ = 37.86°, I 20
2θ = 75.89°, I 19
2θ = 56.69°, I 14
2θ = 82.18°, I 13

Structure:
Cell lengths 6.439, 2.773, 6.512 Å; angles 90.00, 94.44, 90.00 degrees
Sites, in units of the cell vectors:
1 Zn 0.085 0.250 0.166
2 Zn 0.915 0.750 0.834
3 Tc 0.176 0.250 0.591
4 Tc 0.337 0.750 0.916
5 Tc 0.417 0.750 0.342
6 Tc 0.583 0.250 0.658
7 Tc 0.663 0.250 0.084
8 Tc 0.824 0.750 0.409



# 3
LaOs2Ru: computed powder diffraction line list (Cu Kα), based on a cell relaxed with GGA-PBE.
Neutral-atom scattering factors, no anomalous dispersion.

The 10 most intense peaks (10 to 90 degrees two-theta), most intense first:
2θ = 35.23°, I 100
2θ = 39.99°, I 97
2θ = 12.75°, I 66
2θ = 41.24°, I 65
2θ = 65.54°, I 33
2θ = 48.54°, I 28
2θ = 77.32°, I 21
2θ = 46.09°, I 18
2θ = 42.14°, I 15
2θ = 51.05°, I 13

Structure:
Cell lengths 2.821, 3.751, 6.942 Å; angles 90.00, 90.00, 90.00 degrees
Sites, in units of the cell vectors:
1 La 0.000 0.000 0.000
2 Os 0.000 0.000 0.498
3 Os 0.500 0.500 0.321
4 Ru 0.500 0.500 0.692